[1]
For Tb4AlZn2Pt, a DFT-relaxed cell (GGA-PBE, Alexandria) gives the computed powder X-ray diffraction pattern in this record (Cu Ka).
Lines closer than 0.1° are merged.

Principal peaks in the range 2θ = 5–70°, in order of falling intensity:
d/Å	2theta	I (rel.)	hkl
2.525	35.6	100	1 1 0
1.458	63.9	35	3 0 0
1.785	51.2	17	2 0 8
3.571	24.9	9	1 0 4
8.249	10.7	9	0 0 3
4.306	20.6	7	1 0 1
1.860	49.0	4	1 1 9
1.597	57.7	4	2 1 4
2.414	37.2	3	1 1 3
2.061	43.9	3	0 2 4

Structure:
```
data_Tb4AlZn2Pt
_symmetry_space_group_name_H-M 'R -3 m'
_symmetry_Int_Tables_number 166
_symmetry_space_group_name_Hall '-R 3 2"'
_cell_length_a 5.0488
_cell_length_b 5.0488
_cell_length_c 24.7459
_cell_angle_alpha 90.00
_cell_angle_beta 90.00
_cell_angle_gamma 120.00
loop_
_atom_site_label
_atom_site_fract_x
_atom_site_fract_y
_atom_site_fract_z
Tb1 0.0000 0.0000 0.1203
Tb2 0.0000 0.0000 0.3714
Al1 0.0000 0.0000 0.5000
Zn1 0.0000 0.0000 0.2428
Pt1 0.0000 0.0000 0.0000
```

---

[2]
For TlCdPt2, a DFT-relaxed cell (GGA-PBE, Alexandria) gives the computed powder X-ray diffraction pattern in this record (Cu Ka).
Lines closer than 0.1° are merged.

Principal peaks in the range 2θ = 5–70°, in order of falling intensity:
d/Å	2theta	I (rel.)	hkl
2.387	37.7	100	1 1 1
2.179	41.4	53	3 1 -1
2.572	34.9	43	4 0 0
2.539	35.4	25	4 0 -1
2.400	37.5	24	2 0 -2
1.351	69.6	17	1 1 3
1.411	66.2	14	3 1 -3
1.984	45.7	13	2 0 2
2.014	45.0	12	4 0 -2
1.504	61.7	12	5 1 1

Structure:
```
data_TlCdPt2
_symmetry_space_group_name_H-M 'C 1 m 1'
_symmetry_Int_Tables_number 8
_cell_length_a 10.6174
_cell_length_b 2.9897
_cell_length_c 4.9193
_cell_angle_alpha 90.00
_cell_angle_beta 104.29
_cell_angle_gamma 90.00
loop_
_symmetry_equiv_pos_as_xyz
'x,y,z'
'x,-y,z'
'x+1/2,y+1/2,z'
'x+1/2,-y+1/2,z'
loop_
_atom_site_label
_atom_site_fract_x
_atom_site_fract_y
_atom_site_fract_z
Tl1 0.0000 0.0000 0.0000
Cd1 0.2935 0.5000 0.3883
Pt1 0.0433 0.5000 0.5146
Pt2 0.2525 0.0000 0.8702
```

---

[3]
For LiScI4, a DFT-relaxed cell (GGA-PBE, Alexandria) gives the computed powder X-ray diffraction pattern in this record (Cu Ka).
Lines closer than 0.1° are merged.

Principal peaks in the range 2θ = 5–70°, in order of falling intensity:
d/Å	2theta	I (rel.)	hkl
3.255	27.4	100	4 0 -2
3.301	27.0	67	1 1 1
3.767	23.6	46	4 0 0
2.642	33.9	43	3 1 1
3.351	26.6	37	0 0 2
2.050	44.2	33	7 1 -1
2.114	42.8	31	3 1 -3
7.534	11.7	28	2 0 0
3.640	24.5	23	1 1 -1
2.110	42.9	16	4 0 2

Structure:
```
data_LiScI4
_symmetry_space_group_name_H-M 'C 1 2/m 1'
_symmetry_Int_Tables_number 12
_cell_length_a 16.5308
_cell_length_b 4.1897
_cell_length_c 7.3527
_cell_angle_alpha 90.00
_cell_angle_beta 114.29
_cell_angle_gamma 90.00
loop_
_symmetry_equiv_pos_as_xyz
'x,y,z'
'-x,-y,-z'
'-x,y,-z'
'x,-y,z'
'x+1/2,y+1/2,z'
'-x+1/2,-y+1/2,-z'
'-x+1/2,y+1/2,-z'
'x+1/2,-y+1/2,z'
loop_
_atom_site_label
_atom_site_fract_x
_atom_site_fract_y
_atom_site_fract_z
Li1 0.0000 0.0000 0.0000
Sc1 0.0000 0.5000 0.5000
I1 0.1070 0.5000 0.2790
I2 0.1139 0.0000 0.7621
```